1.
# NaSm2Cl6
Simulated powder X-ray diffraction pattern, Cu Ka. Input: DFT lattice parameters and positions (GGA-PBE).
Intensities are scaled so that the largest is 100.

a b c (Å): 13.8939 13.8939 3.8124
angles (deg): 90.00 90.00 120.00
Positions (direct):
Na 0.0000 0.0000 0.0000
Na 0.3333 0.6667 0.5047
Na 0.6667 0.3333 0.2508
Sm 0.0031 0.3329 0.7487
Sm 0.3298 0.9969 0.7487
Sm 0.3357 0.3323 0.2489
Sm 0.6671 0.6702 0.7487
Sm 0.6677 0.0035 0.2489
Sm 0.9965 0.6643 0.2489
Cl 0.0707 0.8424 0.7499
Cl 0.1058 0.5990 0.7486
Cl 0.1576 0.2284 0.7499
Cl 0.1757 0.4380 0.2494
Cl 0.2323 0.0749 0.2479
Cl 0.2623 0.8243 0.2494
Cl 0.4010 0.5068 0.7486
Cl 0.4455 0.2669 0.7487
Cl 0.4932 0.8942 0.7486
Cl 0.5036 0.0981 0.2484
Cl 0.5620 0.7377 0.2494
Cl 0.5945 0.4964 0.2484
Cl 0.7331 0.1786 0.7487
Cl 0.7716 0.9293 0.7499
Cl 0.8214 0.5545 0.7487
Cl 0.8426 0.7677 0.2479
Cl 0.9019 0.4055 0.2484
Cl 0.9251 0.1574 0.2479

Largest 12 diffraction maxima, most intense first, 2θ from 10° to 90°:
2theta  I (rel.)
34.95  100
12.74  91
41.77  84
22.16  72
26.67  64
63.22  54
38.89  50
53.24  30
32.40  22
61.13  19
25.65  18
34.15  18


2.
# La2MgSi2
Simulated powder X-ray diffraction pattern, Cu Ka. Input: DFT lattice parameters and positions (GGA-PBE).
Intensities are scaled so that the largest is 100.

a b c (Å): 7.5330 7.5330 4.4698
angles (deg): 90.00 90.00 90.00
Positions (direct):
La 0.1806 0.3194 0.0000
La 0.3194 0.8194 0.0000
La 0.6806 0.1806 0.0000
La 0.8194 0.6806 0.0000
Mg 0.0000 0.0000 0.5000
Mg 0.5000 0.5000 0.5000
Si 0.1127 0.6127 0.5000
Si 0.3873 0.1127 0.5000
Si 0.6127 0.8873 0.5000
Si 0.8873 0.3873 0.5000

Largest 12 diffraction maxima, most intense first, 2θ from 10° to 90°:
2theta  I (rel.)
33.30  100
31.05  52
26.46  41
19.86  31
54.24  26
23.62  23
49.92  20
40.36  18
37.76  18
66.05  17
55.70  16
48.91  16


3.
# SiO2
Simulated powder X-ray diffraction pattern, Cu Ka. Input: DFT lattice parameters and positions (GGA-PBE).
Intensities are scaled so that the largest is 100.

a b c (Å): 6.9817 6.9817 5.1623
angles (deg): 109.04 109.04 75.93
Positions (direct):
Si 0.0534 0.2571 0.3666
Si 0.2571 0.0534 0.8666
Si 0.7429 0.9466 0.1334
Si 0.9466 0.7429 0.6334
O 0.0000 0.5000 0.5000
O 0.1516 0.2197 0.1053
O 0.1576 0.8424 0.7500
O 0.2197 0.1516 0.6053
O 0.5000 0.0000 0.0000
O 0.7803 0.8484 0.3947
O 0.8424 0.1576 0.2500
O 0.8484 0.7803 0.8947

Largest 12 diffraction maxima, most intense first, 2θ from 10° to 90°:
2theta  I (rel.)
13.58  100
20.09  62
28.15  28
28.67  28
17.70  23
34.82  8
50.80  6
47.96  4
27.60  4
20.68  4
58.05  4
54.48  4


4.
# CeSe2O6
Simulated powder X-ray diffraction pattern, Cu Ka. Input: DFT lattice parameters and positions (GGA-PBE).
Intensities are scaled so that the largest is 100.

a b c (Å): 7.1553 10.8561 8.7504
angles (deg): 90.00 125.49 90.00
Positions (direct):
Ce 0.2484 0.0967 0.4879
Ce 0.2484 0.4033 0.9879
Ce 0.7516 0.5967 0.0121
Ce 0.7516 0.9033 0.5121
Se 0.1863 0.7148 0.9271
Se 0.1863 0.7852 0.4271
Se 0.2838 0.0718 0.0694
Se 0.2838 0.4282 0.5694
Se 0.7162 0.5718 0.4306
Se 0.7162 0.9282 0.9306
Se 0.8137 0.2148 0.5729
Se 0.8137 0.2852 0.0729
O 0.0012 0.5991 0.9073
O 0.0012 0.9009 0.4073
O 0.0534 0.7418 0.1981
O 0.0534 0.7582 0.6981
O 0.1558 0.0882 0.1870
O 0.1558 0.4118 0.6870
O 0.3859 0.6051 0.9583
O 0.3859 0.8949 0.4583
O 0.4107 0.2156 0.1124
O 0.4107 0.2844 0.6124
O 0.4779 0.0204 0.7864
O 0.4779 0.4796 0.2864
O 0.5221 0.5204 0.7136
O 0.5221 0.9796 0.2136
O 0.5893 0.7156 0.3876
O 0.5893 0.7844 0.8876
O 0.6141 0.1051 0.5417
O 0.6141 0.3949 0.0417
O 0.8442 0.5882 0.3130
O 0.8442 0.9118 0.8130
O 0.9466 0.2418 0.3019
O 0.9466 0.2582 0.8019
O 0.9988 0.0991 0.5927
O 0.9988 0.4009 0.0927

Largest 12 diffraction maxima, most intense first, 2θ from 10° to 90°:
2theta  I (rel.)
29.05  100
25.94  75
24.99  48
14.87  40
45.59  39
32.11  35
30.69  27
52.27  19
26.33  19
44.44  18
27.65  16
32.44  15


5.
# Sr2NdNbO6
Simulated powder X-ray diffraction pattern, Cu Ka. Input: DFT lattice parameters and positions (GGA-PBE).
Intensities are scaled so that the largest is 100.

a b c (Å): 8.5231 8.5231 8.5231
angles (deg): 90.00 90.00 90.00
Positions (direct):
Sr 0.2500 0.2500 0.2500
Sr 0.2500 0.2500 0.7500
Sr 0.2500 0.7500 0.2500
Sr 0.2500 0.7500 0.7500
Sr 0.7500 0.2500 0.2500
Sr 0.7500 0.2500 0.7500
Sr 0.7500 0.7500 0.2500
Sr 0.7500 0.7500 0.7500
Nd 0.0000 0.0000 0.0000
Nd 0.0000 0.5000 0.5000
Nd 0.5000 0.0000 0.5000
Nd 0.5000 0.5000 0.0000
Nb 0.0000 0.0000 0.5000
Nb 0.0000 0.5000 0.0000
Nb 0.5000 0.0000 0.0000
Nb 0.5000 0.5000 0.5000
O 0.0368 0.5465 0.7690
O 0.0368 0.9535 0.7310
O 0.0465 0.2310 0.5368
O 0.0465 0.2690 0.9632
O 0.2310 0.5368 0.0465
O 0.2310 0.9632 0.4535
O 0.2690 0.5368 0.4535
O 0.2690 0.9632 0.0465
O 0.4535 0.2310 0.9632
O 0.4535 0.2690 0.5368
O 0.4632 0.5465 0.7310
O 0.4632 0.9535 0.7690
O 0.5368 0.0465 0.2310
O 0.5368 0.4535 0.2690
O 0.5465 0.7310 0.4632
O 0.5465 0.7690 0.0368
O 0.7310 0.0368 0.9535
O 0.7310 0.4632 0.5465
O 0.7690 0.0368 0.5465
O 0.7690 0.4632 0.9535
O 0.9535 0.7310 0.0368
O 0.9535 0.7690 0.4632
O 0.9632 0.0465 0.2690
O 0.9632 0.4535 0.2310

Largest 12 diffraction maxima, most intense first, 2θ from 10° to 90°:
2theta  I (rel.)
29.65  100
52.61  45
42.42  29
85.20  23
69.79  18
61.55  16
20.84  7
77.61  5
47.72  3
34.91  3
18.03  2
46.44  2


6.
# CaHF
Simulated powder X-ray diffraction pattern, Cu Ka. Input: DFT lattice parameters and positions (GGA-PBE).
Intensities are scaled so that the largest is 100.

a b c (Å): 5.4802 5.4802 5.4802
angles (deg): 90.00 90.00 90.00
Positions (direct):
Ca 0.0000 0.0000 0.0000
Ca 0.0000 0.5000 0.5000
Ca 0.5000 0.0000 0.5000
Ca 0.5000 0.5000 0.0000
H 0.2500 0.2500 0.2500
H 0.2500 0.7500 0.7500
H 0.7500 0.2500 0.7500
H 0.7500 0.7500 0.2500
F 0.2500 0.2500 0.7500
F 0.2500 0.7500 0.2500
F 0.7500 0.2500 0.2500
F 0.7500 0.7500 0.7500

Largest 9 diffraction maxima, most intense first, 2θ from 10° to 90°:
2theta  I (rel.)
28.20  100
46.89  60
55.62  37
87.13  15
75.64  13
32.68  10
68.48  8
77.97  4
58.33  3


7.
# PuUSn6
Simulated powder X-ray diffraction pattern, Cu Ka. Input: DFT lattice parameters and positions (GGA-PBE).
Intensities are scaled so that the largest is 100.

a b c (Å): 4.6156 4.6156 9.2464
angles (deg): 90.00 90.00 90.00
Positions (direct):
Pu 0.0000 0.0000 0.0000
U 0.0000 0.0000 0.5000
Sn 0.0000 0.5000 0.2484
Sn 0.0000 0.5000 0.7516
Sn 0.5000 0.0000 0.2484
Sn 0.5000 0.0000 0.7516
Sn 0.5000 0.5000 0.0000
Sn 0.5000 0.5000 0.5000

Largest 12 diffraction maxima, most intense first, 2θ from 10° to 90°:
2theta  I (rel.)
33.61  100
39.01  50
67.24  43
56.35  36
70.66  12
19.22  10
27.31  8
43.84  5
83.84  4
48.27  4
60.10  2
83.67  2


8.
# GdAl8Fe4
Simulated powder X-ray diffraction pattern, Cu Ka. Input: DFT lattice parameters and positions (GGA-PBE).
Intensities are scaled so that the largest is 100.

a b c (Å): 6.7812 6.7812 6.7812
angles (deg): 98.14 98.14 135.79
Positions (direct):
Gd 0.0000 0.0000 0.0000
Al 0.0000 0.3398 0.3398
Al 0.0000 0.6602 0.6602
Al 0.2795 0.5000 0.7795
Al 0.3398 0.0000 0.3398
Al 0.5000 0.2795 0.7795
Al 0.5000 0.7205 0.2205
Al 0.6602 0.0000 0.6602
Al 0.7205 0.5000 0.2205
Fe 0.0000 0.0000 0.5000
Fe 0.0000 0.5000 0.0000
Fe 0.5000 0.0000 0.0000
Fe 0.5000 0.5000 0.5000

Largest 12 diffraction maxima, most intense first, 2θ from 10° to 90°:
2theta  I (rel.)
40.64  100
28.44  70
40.78  67
20.06  33
14.10  33
35.03  32
73.98  29
58.91  25
31.85  19
66.57  16
58.80  14
88.02  13